Record 1
CeZr3O8: simulated X-ray diffraction stick pattern (Cu Kα), based on a cell relaxed with PBE.
Peak positions follow from Bragg's law for the DFT cell and can differ from measured ones.

Cell and atoms:
Lattice parameters (Å, degrees): 5.3276 5.3531 5.5022 89.66 80.98 89.41
Fractional positions:
Ce1 0.0000 0.0000 0.0000
Zr1 0.5435 0.5023 0.0879
Zr2 0.5462 0.9184 0.5748
Zr3 0.9912 0.4251 0.5040
O1 0.2066 0.3064 0.1517
O2 0.2129 0.1502 0.6364
O3 0.3198 0.6573 0.4363
O4 0.3572 0.7883 0.9290
O5 0.7143 0.2310 0.8143
O6 0.7180 0.2118 0.3266
O7 0.8000 0.7092 0.2785
O8 0.8190 0.7060 0.7616

The 10 most intense peaks (2θ from 15° to 90°), in order of rising 2θ:
- 27.19°, 3.280 Å, intensity 100.0
- 27.48°, 3.246 Å, intensity 95.2
- 30.37°, 2.943 Å, intensity 70.6
- 30.48°, 2.933 Å, intensity 69.9
- 32.97°, 2.717 Å, intensity 41.1
- 33.48°, 2.676 Å, intensity 26.0
- 34.08°, 2.631 Å, intensity 32.6
- 48.28°, 1.885 Å, intensity 25.0
- 48.77°, 1.867 Å, intensity 33.7
- 57.92°, 1.592 Å, intensity 24.7

Record 2
CeZr3O8: simulated X-ray diffraction stick pattern (Cu Kα), based on a cell relaxed with PBE.
Peak positions follow from Bragg's law for the DFT cell and can differ from measured ones.

Cell and atoms:
Lattice parameters (Å, degrees): 3.7071 6.5215 6.5215 69.00 90.00 90.00
Fractional positions:
Ce1 0.0000 0.0000 0.0000
Zr1 0.0000 0.4956 0.4956
Zr2 0.5000 0.5033 0.9925
Zr3 0.5000 0.9925 0.5033
O1 0.0000 0.1032 0.5864
O2 0.0000 0.3619 0.8410
O3 0.0000 0.5864 0.1032
O4 0.0000 0.8410 0.3619
O5 0.5000 0.1523 0.1523
O6 0.5000 0.4042 0.4042
O7 0.5000 0.6501 0.6501
O8 0.5000 0.8857 0.8857

The 10 most intense peaks (2θ from 15° to 90°), in order of rising 2θ:
- 29.30°, 3.048 Å, intensity 100.0
- 33.34°, 2.687 Å, intensity 9.7
- 34.27°, 2.617 Å, intensity 15.1
- 48.56°, 1.875 Å, intensity 36.2
- 49.15°, 1.854 Å, intensity 9.6
- 49.34°, 1.847 Å, intensity 9.3
- 57.12°, 1.612 Å, intensity 14.6
- 58.28°, 1.583 Å, intensity 13.8
- 58.41°, 1.580 Å, intensity 13.6
- 78.66°, 1.216 Å, intensity 5.6

Record 3
CeZr6O14: simulated X-ray diffraction stick pattern (Cu Kα), based on a cell relaxed with PBE.
Peak positions follow from Bragg's law for the DFT cell and can differ from measured ones.

Cell and atoms:
Lattice parameters (Å, degrees): 3.6825 25.7222 5.2976 90.00 90.00 90.00
Fractional positions:
Ce1 0.0000 0.1436 0.0000
Ce2 0.0000 0.8564 0.0000
Zr1 0.0000 0.0000 0.0012
Zr2 0.0000 0.2879 0.0010
Zr3 0.0000 0.4292 0.0005
Zr4 0.0000 0.5708 0.0005
Zr5 0.0000 0.7121 0.0010
Zr6 0.5000 0.0702 0.5011
Zr7 0.5000 0.2171 0.5008
Zr8 0.5000 0.3584 0.5019
Zr9 0.5000 0.5000 0.5016
Zr10 0.5000 0.6416 0.5019
Zr11 0.5000 0.7829 0.5008
Zr12 0.5000 0.9298 0.5011
O1 0.0000 0.0679 0.7088
O2 0.0000 0.0690 0.2213
O3 0.0000 0.2188 0.2194
O4 0.0000 0.2186 0.7071
O5 0.0000 0.3576 0.6999
O6 0.0000 0.3588 0.2005
O7 0.0000 0.5000 0.1993
O8 0.0000 0.5000 0.6984
O9 0.0000 0.6412 0.2005
O10 0.0000 0.6424 0.6999
O11 0.0000 0.7812 0.2194
O12 0.0000 0.7814 0.7071
O13 0.0000 0.9310 0.2213
O14 0.0000 0.9321 0.7088
O15 0.5000 0.0000 0.2951
O16 0.5000 0.0000 0.7989
O17 0.5000 0.1433 0.7634
O18 0.5000 0.1436 0.2915
O19 0.5000 0.2867 0.8016
O20 0.5000 0.2882 0.2996
O21 0.5000 0.4292 0.3030
O22 0.5000 0.4289 0.8035
O23 0.5000 0.5708 0.3030
O24 0.5000 0.5711 0.8035
O25 0.5000 0.7118 0.2996
O26 0.5000 0.7133 0.8016
O27 0.5000 0.8564 0.2915
O28 0.5000 0.8567 0.7634

The 10 most intense peaks (2θ from 15° to 90°), in order of rising 2θ:
- 29.56°, 3.022 Å, intensity 100.0
- 33.84°, 2.649 Å, intensity 8.8
- 34.48°, 2.601 Å, intensity 14.5
- 49.09°, 1.856 Å, intensity 37.1
- 49.50°, 1.841 Å, intensity 9.7
- 49.62°, 1.837 Å, intensity 9.5
- 57.93°, 1.592 Å, intensity 14.3
- 58.77°, 1.571 Å, intensity 27.1
- 72.71°, 1.301 Å, intensity 5.4
- 79.65°, 1.204 Å, intensity 10.9

Record 4
CeZrO4: simulated X-ray diffraction stick pattern (Cu Kα), based on a cell relaxed with PBE.
Peak positions follow from Bragg's law for the DFT cell and can differ from measured ones.

Cell and atoms:
Lattice parameters (Å, degrees): 5.3877 5.3877 5.3033 90.00 90.00 90.00
Fractional positions:
Ce1 0.2500 0.2500 0.0000
Ce2 0.7500 0.7500 0.0000
Zr1 0.2500 0.7500 0.5000
Zr2 0.7500 0.2500 0.5000
O1 0.0363 0.5363 0.2552
O2 0.0363 0.9637 0.7448
O3 0.4637 0.5363 0.7448
O4 0.4637 0.9637 0.2552
O5 0.5363 0.0363 0.7448
O6 0.5363 0.4637 0.2552
O7 0.9637 0.0363 0.2552
O8 0.9637 0.4637 0.7448

The 10 most intense peaks (2θ from 15° to 90°), in order of rising 2θ:
- 28.86°, 3.094 Å, intensity 100.0
- 33.26°, 2.694 Å, intensity 18.6
- 33.80°, 2.652 Å, intensity 8.3
- 47.75°, 1.905 Å, intensity 17.9
- 48.15°, 1.890 Å, intensity 36.2
- 56.75°, 1.622 Å, intensity 29.1
- 57.47°, 1.604 Å, intensity 14.0
- 59.78°, 1.547 Å, intensity 8.2
- 77.87°, 1.227 Å, intensity 11.4
- 89.31°, 1.097 Å, intensity 10.1

Record 5
CeZr2O6: simulated X-ray diffraction stick pattern (Cu Kα), based on a cell relaxed with PBE.
Peak positions follow from Bragg's law for the DFT cell and can differ from measured ones.

Cell and atoms:
Lattice parameters (Å, degrees): 6.4221 6.4221 6.4221 146.18 131.79 60.18
Fractional positions:
Ce1 0.0000 0.0000 0.0000
Zr1 0.3310 0.3310 0.0000
Zr2 0.6690 0.6690 0.0000
O1 0.0850 0.8275 0.2575
O2 0.2620 0.5000 0.7620
O3 0.4299 0.1725 0.2575
O4 0.5701 0.8275 0.7425
O5 0.7380 0.5000 0.2380
O6 0.9150 0.1725 0.7425

The 10 most intense peaks (2θ from 15° to 90°), in order of rising 2θ:
- 29.35°, 3.043 Å, intensity 100.0
- 29.52°, 3.026 Å, intensity 99.1
- 34.08°, 2.631 Å, intensity 32.0
- 34.19°, 2.623 Å, intensity 15.9
- 48.75°, 1.868 Å, intensity 19.5
- 49.05°, 1.857 Å, intensity 76.2
- 49.19°, 1.852 Å, intensity 18.8
- 58.03°, 1.590 Å, intensity 28.4
- 58.32°, 1.582 Å, intensity 55.6
- 79.66°, 1.204 Å, intensity 11.1

Record 6
CeZr2O6: simulated X-ray diffraction stick pattern (Cu Kα), based on a cell relaxed with PBE.
Peak positions follow from Bragg's law for the DFT cell and can differ from measured ones.

Cell and atoms:
Lattice parameters (Å, degrees): 3.7292 3.7292 9.0204 90.00 90.00 120.00
Fractional positions:
Ce1 0.0000 0.0000 0.0000
Zr1 0.3333 0.6667 0.6592
Zr2 0.6667 0.3333 0.3408
O1 0.0000 0.0000 0.2645
O2 0.0000 0.0000 0.7355
O3 0.3333 0.6667 0.4183
O4 0.3333 0.6667 0.9057
O5 0.6667 0.3333 0.0943
O6 0.6667 0.3333 0.5817

The 10 most intense peaks (2θ from 15° to 90°), in order of rising 2θ:
- 29.37°, 3.041 Å, intensity 100.0
- 29.71°, 3.007 Å, intensity 31.6
- 34.15°, 2.626 Å, intensity 31.9
- 48.84°, 1.865 Å, intensity 38.0
- 49.28°, 1.849 Å, intensity 37.4
- 58.03°, 1.590 Å, intensity 14.2
- 58.22°, 1.585 Å, intensity 27.3
- 58.61°, 1.575 Å, intensity 12.9
- 71.92°, 1.313 Å, intensity 11.0
- 79.18°, 1.210 Å, intensity 11.3